Entry 1:
For PuHfZn17, a DFT-relaxed cell (PBE, Alexandria) gives the computed XRD peak list in this record (λ = 1.5418 Å (Cu Kα)).
Neutral-atom scattering factors, no anomalous dispersion.

Cell and atoms:
```
PuHfZn17
1.0
4.447 2.568 4.372
-4.447 2.568 4.372
0.000 -5.135 4.372
Pu Hf Zn
1 1 17
Direct
0.000 0.000 0.000 Pu
0.663 0.663 0.663 Hf
0.033 0.338 0.632 Zn
0.033 0.632 0.338 Zn
0.188 0.685 0.685 Zn
0.239 0.239 0.239 Zn
0.326 0.326 0.843 Zn
0.326 0.843 0.326 Zn
0.338 0.033 0.632 Zn
0.338 0.632 0.033 Zn
0.439 0.439 0.439 Zn
0.511 0.973 0.973 Zn
0.632 0.033 0.338 Zn
0.632 0.338 0.033 Zn
0.685 0.188 0.685 Zn
0.685 0.685 0.188 Zn
0.843 0.326 0.326 Zn
0.973 0.511 0.973 Zn
0.973 0.973 0.511 Zn
```

Main lines, in order of falling intensity (10° ≤ 2θ ≤ 90°):
2θ (°)	d_spacing	I/Imax
40.75	2.214	100
40.57	2.224	54
34.95	2.568	43
28.63	3.118	37
41.30	2.186	29
41.65	2.168	23
35.97	2.497	22
74.92	1.268	19

***

Entry 2:
For Pu2Hf2Zr5, a DFT-relaxed cell (PBE, Alexandria) gives the computed XRD peak list in this record (λ = 1.5418 Å (Cu Kα)).
Neutral-atom scattering factors, no anomalous dispersion.

Cell and atoms:
```
Pu2Hf2Zr5
1.0
3.180 0.000 0.000
1.566 8.264 0.000
1.571 2.656 7.959
Pu Hf Zr
2 2 5
Direct
0.057 0.164 0.219 Pu
0.943 0.836 0.781 Pu
0.169 0.498 0.666 Hf
0.831 0.502 0.334 Hf
0.276 0.831 0.119 Zr
0.388 0.173 0.548 Zr
0.500 0.500 0.000 Zr
0.612 0.827 0.452 Zr
0.724 0.169 0.881 Zr
```

Main lines, in order of falling intensity (10° ≤ 2θ ≤ 90°):
2θ (°)	d_spacing	I/Imax
34.29	2.615	100
40.06	2.251	18
39.14	2.301	18
40.20	2.243	16
57.26	1.609	11
57.36	1.606	11
69.26	1.357	10
72.24	1.308	9

***

Entry 3:
For PuHf3Zr6, a DFT-relaxed cell (PBE, Alexandria) gives the computed XRD peak list in this record (λ = 1.5418 Å (Cu Kα)).
Neutral-atom scattering factors, no anomalous dispersion.

Cell and atoms:
```
PuHf3Zr6
1.0
3.165 0.000 0.000
0.503 12.514 0.000
1.266 5.703 11.654
Pu Hf Zr
2 6 12
Direct
0.121 0.431 0.237 Pu
0.879 0.569 0.763 Pu
0.280 0.335 0.874 Hf
0.317 0.167 0.725 Hf
0.446 0.814 0.666 Hf
0.554 0.186 0.334 Hf
0.683 0.833 0.275 Hf
0.720 0.665 0.126 Hf
0.061 0.946 0.418 Zr
0.143 0.688 0.520 Zr
0.173 0.107 0.165 Zr
0.232 0.578 0.363 Zr
0.244 0.888 0.048 Zr
0.283 0.633 0.933 Zr
0.717 0.367 0.067 Zr
0.756 0.112 0.952 Zr
0.768 0.422 0.637 Zr
0.827 0.893 0.835 Zr
0.857 0.312 0.480 Zr
0.939 0.054 0.582 Zr
```

Main lines, in order of falling intensity (10° ≤ 2θ ≤ 90°):
2θ (°)	d_spacing	I/Imax
34.56	2.595	100
36.35	2.471	79
36.09	2.489	46
35.97	2.497	30
33.65	2.664	29
38.24	2.354	22
37.11	2.423	22
15.20	5.827	22

***

Entry 4:
For Pu2Hf2Zr7, a DFT-relaxed cell (PBE, Alexandria) gives the computed XRD peak list in this record (λ = 1.5418 Å (Cu Kα)).
Neutral-atom scattering factors, no anomalous dispersion.

Cell and atoms:
```
Pu2Hf2Zr7
1.0
3.007 -7.934 0.000
3.007 7.934 0.000
-0.558 0.000 10.846
Pu Hf Zr
4 4 14
Direct
0.072 0.273 0.417 Pu
0.273 0.072 0.917 Pu
0.727 0.928 0.083 Pu
0.928 0.727 0.583 Pu
0.160 0.201 0.660 Hf
0.201 0.160 0.160 Hf
0.799 0.840 0.840 Hf
0.840 0.799 0.340 Hf
0.080 0.635 0.870 Zr
0.090 0.669 0.372 Zr
0.262 0.429 0.928 Zr
0.331 0.910 0.128 Zr
0.365 0.920 0.630 Zr
0.392 0.608 0.250 Zr
0.429 0.262 0.428 Zr
0.571 0.738 0.572 Zr
0.608 0.392 0.750 Zr
0.635 0.080 0.370 Zr
0.669 0.090 0.872 Zr
0.738 0.571 0.072 Zr
0.910 0.331 0.628 Zr
0.920 0.365 0.130 Zr
```

Main lines, in order of falling intensity (10° ≤ 2θ ≤ 90°):
2θ (°)	d_spacing	I/Imax
36.40	2.468	100
36.08	2.489	73
40.56	2.224	53
35.67	2.517	43
11.15	7.934	38
33.02	2.712	35
34.90	2.570	32
32.54	2.751	31

***

Entry 5:
For Pu2Hf4Zr9, a DFT-relaxed cell (PBE, Alexandria) gives the computed XRD peak list in this record (λ = 1.5418 Å (Cu Kα)).
Neutral-atom scattering factors, no anomalous dispersion.

Cell and atoms:
```
Pu2Hf4Zr9
1.0
8.286 0.000 0.000
-3.947 8.873 0.000
-1.757 -2.381 9.457
Pu Hf Zr
4 8 18
Direct
0.064 0.039 0.180 Pu
0.098 0.125 0.646 Pu
0.902 0.875 0.354 Pu
0.936 0.961 0.820 Pu
0.087 0.718 0.167 Hf
0.281 0.592 0.968 Hf
0.317 0.669 0.434 Hf
0.482 0.790 0.768 Hf
0.518 0.210 0.232 Hf
0.683 0.331 0.566 Hf
0.719 0.408 0.032 Hf
0.913 0.282 0.833 Hf
0.081 0.391 0.167 Zr
0.118 0.474 0.635 Zr
0.123 0.800 0.629 Zr
0.281 0.923 0.970 Zr
0.286 0.270 0.978 Zr
0.317 0.338 0.429 Zr
0.328 0.007 0.433 Zr
0.478 0.126 0.769 Zr
0.480 0.454 0.765 Zr
0.520 0.546 0.235 Zr
0.522 0.874 0.231 Zr
0.672 0.993 0.567 Zr
0.683 0.662 0.571 Zr
0.714 0.730 0.022 Zr
0.719 0.077 0.030 Zr
0.877 0.200 0.371 Zr
0.882 0.526 0.365 Zr
0.919 0.609 0.833 Zr
```

Main lines, in order of falling intensity (10° ≤ 2θ ≤ 90°):
2θ (°)	d_spacing	I/Imax
36.78	2.444	100
36.29	2.475	85
34.75	2.581	58
32.29	2.772	39
36.88	2.438	34
68.35	1.372	22
70.29	1.339	15
63.56	1.464	14

***

Entry 6:
For Rb3HfS3, a DFT-relaxed cell (PBE, Alexandria) gives the computed XRD peak list in this record (λ = 1.5418 Å (Cu Kα)).
Neutral-atom scattering factors, no anomalous dispersion.

Cell and atoms:
```
Rb3HfS3
1.0
8.114 0.000 0.000
0.000 13.718 0.000
-6.232 0.000 8.611
Rb Hf S
12 4 12
Direct
0.102 0.137 0.483 Rb
0.102 0.363 0.983 Rb
0.132 0.077 0.890 Rb
0.132 0.423 0.390 Rb
0.359 0.682 0.554 Rb
0.359 0.818 0.054 Rb
0.641 0.182 0.946 Rb
0.641 0.318 0.446 Rb
0.868 0.577 0.610 Rb
0.868 0.923 0.110 Rb
0.898 0.637 0.017 Rb
0.898 0.863 0.517 Rb
0.441 0.057 0.342 Hf
0.441 0.443 0.842 Hf
0.559 0.557 0.158 Hf
0.559 0.943 0.658 Hf
0.157 0.169 0.197 S
0.157 0.331 0.697 S
0.347 0.607 0.881 S
0.347 0.893 0.381 S
0.368 0.543 0.264 S
0.368 0.957 0.764 S
0.632 0.043 0.236 S
0.632 0.457 0.736 S
0.653 0.107 0.619 S
0.653 0.393 0.119 S
0.843 0.669 0.303 S
0.843 0.831 0.803 S
```

Main lines, in order of falling intensity (10° ≤ 2θ ≤ 90°):
2θ (°)	d_spacing	I/Imax
12.90	6.861	100
28.36	3.148	81
29.78	3.000	59
23.53	3.781	58
33.85	2.648	47
26.39	3.377	47
27.94	3.194	45
23.36	3.808	37

***

Entry 7:
For Rb2HfSc2Te6, a DFT-relaxed cell (PBE, Alexandria) gives the computed XRD peak list in this record (λ = 1.5418 Å (Cu Kα)).
Neutral-atom scattering factors, no anomalous dispersion.

Cell and atoms:
```
Rb2HfSc2Te6
1.0
3.638 -6.299 0.000
3.638 6.299 0.000
-2.472 0.000 8.787
Rb Hf Sc Te
2 1 2 6
Direct
0.167 0.833 0.000 Rb
0.833 0.167 0.000 Rb
0.000 0.000 0.500 Hf
0.332 0.668 0.500 Sc
0.668 0.332 0.500 Sc
0.067 0.394 0.690 Te
0.267 0.267 0.312 Te
0.394 0.067 0.690 Te
0.606 0.933 0.310 Te
0.733 0.733 0.688 Te
0.933 0.606 0.310 Te
```

Main lines, in order of falling intensity (10° ≤ 2θ ≤ 90°):
2θ (°)	d_spacing	I/Imax
28.05	3.181	100
10.07	8.787	62
43.07	2.100	54
27.95	3.192	50
36.75	2.445	27
52.17	1.753	26
34.32	2.613	22
14.47	6.122	19

***

Entry 8:
For Rb6HfSe4, a DFT-relaxed cell (PBE, Alexandria) gives the computed XRD peak list in this record (λ = 1.5418 Å (Cu Kα)).
Neutral-atom scattering factors, no anomalous dispersion.

Cell and atoms:
```
Rb6HfSe4
1.0
11.388 0.000 0.000
-5.694 9.862 0.000
0.000 0.000 8.436
Rb Hf Se
12 2 8
Direct
0.067 0.533 0.000 Rb
0.130 0.259 0.321 Rb
0.130 0.870 0.321 Rb
0.259 0.130 0.821 Rb
0.467 0.533 0.000 Rb
0.467 0.933 0.000 Rb
0.533 0.067 0.500 Rb
0.533 0.467 0.500 Rb
0.741 0.870 0.321 Rb
0.870 0.130 0.821 Rb
0.870 0.741 0.821 Rb
0.933 0.467 0.500 Rb
0.333 0.667 0.595 Hf
0.667 0.333 0.095 Hf
0.212 0.425 0.698 Se
0.212 0.788 0.698 Se
0.333 0.667 0.293 Se
0.425 0.212 0.198 Se
0.575 0.788 0.698 Se
0.667 0.333 0.793 Se
0.788 0.212 0.198 Se
0.788 0.575 0.198 Se
```

Main lines, in order of falling intensity (10° ≤ 2θ ≤ 90°):
2θ (°)	d_spacing	I/Imax
26.14	3.409	100
29.16	3.063	56
13.81	6.410	51
27.83	3.205	50
31.42	2.847	46
22.93	3.878	29
47.93	1.898	26
33.13	2.704	25

***

Entry 9:
For Rb2HfTeSe4, a DFT-relaxed cell (PBE, Alexandria) gives the computed XRD peak list in this record (λ = 1.5418 Å (Cu Kα)).
Neutral-atom scattering factors, no anomalous dispersion.

Cell and atoms:
```
Rb2HfTeSe4
1.0
0.000 7.892 13.439
2.861 0.000 13.439
2.861 7.892 0.000
Rb Hf Te Se
4 2 2 8
Direct
0.048 0.048 0.702 Rb
0.298 0.298 0.952 Rb
0.702 0.702 0.048 Rb
0.952 0.952 0.298 Rb
0.125 0.125 0.125 Hf
0.875 0.875 0.875 Hf
0.375 0.375 0.375 Te
0.625 0.625 0.625 Te
0.085 0.286 0.381 Se
0.252 0.619 0.714 Se
0.286 0.085 0.748 Se
0.381 0.748 0.085 Se
0.619 0.252 0.915 Se
0.714 0.915 0.252 Se
0.748 0.381 0.286 Se
0.915 0.714 0.619 Se
```

Main lines, in order of falling intensity (10° ≤ 2θ ≤ 90°):
2θ (°)	d_spacing	I/Imax
13.01	6.805	100
22.83	3.896	79
25.05	3.555	54
37.30	2.411	52
28.40	3.142	50
13.18	6.720	49
39.74	2.268	37
39.48	2.282	31

***

Entry 10:
For Rb2Hf3TlSe8, a DFT-relaxed cell (PBE, Alexandria) gives the computed XRD peak list in this record (λ = 1.5418 Å (Cu Kα)).
Neutral-atom scattering factors, no anomalous dispersion.

Cell and atoms:
```
Rb2Hf3TlSe8
1.0
3.908 2.256 8.630
-3.908 2.256 8.630
0.000 -4.513 8.630
Rb Hf Tl Se
2 3 1 8
Direct
0.000 0.000 0.000 Rb
0.349 0.349 0.349 Rb
0.494 0.995 0.995 Hf
0.995 0.494 0.995 Hf
0.995 0.995 0.494 Hf
0.622 0.622 0.622 Tl
0.197 0.735 0.735 Se
0.222 0.222 0.222 Se
0.267 0.267 0.784 Se
0.267 0.784 0.267 Se
0.735 0.197 0.735 Se
0.735 0.735 0.197 Se
0.769 0.769 0.769 Se
0.784 0.267 0.267 Se
```

Main lines, in order of falling intensity (10° ≤ 2θ ≤ 90°):
2θ (°)	d_spacing	I/Imax
10.25	8.630	100
35.97	2.497	90
25.01	3.560	74
29.79	2.999	70
46.47	1.954	65
38.49	2.339	54
18.97	4.678	42
26.56	3.356	37

***

Entry 11:
For Rb2Hf4Si, a DFT-relaxed cell (PBE, Alexandria) gives the computed XRD peak list in this record (λ = 1.5418 Å (Cu Kα)).
Neutral-atom scattering factors, no anomalous dispersion.

Cell and atoms:
```
Rb2Hf4Si
1.0
4.979 0.000 0.000
0.000 4.979 0.000
0.000 0.000 21.594
Rb Hf Si
4 8 2
Direct
0.000 0.000 0.178 Rb
0.000 0.000 0.822 Rb
0.500 0.500 0.322 Rb
0.500 0.500 0.678 Rb
0.000 0.000 0.390 Hf
0.000 0.000 0.610 Hf
0.000 0.500 0.000 Hf
0.000 0.500 0.500 Hf
0.500 0.000 0.000 Hf
0.500 0.000 0.500 Hf
0.500 0.500 0.110 Hf
0.500 0.500 0.890 Hf
0.000 0.000 0.500 Si
0.500 0.500 0.000 Si
```

Main lines, in order of falling intensity (10° ≤ 2θ ≤ 90°):
2θ (°)	d_spacing	I/Imax
30.31	2.949	100
36.08	2.490	54
27.34	3.263	52
26.63	3.347	39
56.39	1.632	37
18.29	4.852	36
41.80	2.161	34
61.33	1.512	27

***

Repeat the tenth record exactly.
For Rb2Hf3TlSe8, a DFT-relaxed cell (PBE, Alexandria) gives the computed XRD peak list in this record (λ = 1.5418 Å (Cu Kα)).
Neutral-atom scattering factors, no anomalous dispersion.

Cell and atoms:
```
Rb2Hf3TlSe8
1.0
3.908 2.256 8.630
-3.908 2.256 8.630
0.000 -4.513 8.630
Rb Hf Tl Se
2 3 1 8
Direct
0.000 0.000 0.000 Rb
0.349 0.349 0.349 Rb
0.494 0.995 0.995 Hf
0.995 0.494 0.995 Hf
0.995 0.995 0.494 Hf
0.622 0.622 0.622 Tl
0.197 0.735 0.735 Se
0.222 0.222 0.222 Se
0.267 0.267 0.784 Se
0.267 0.784 0.267 Se
0.735 0.197 0.735 Se
0.735 0.735 0.197 Se
0.769 0.769 0.769 Se
0.784 0.267 0.267 Se
```

Main lines, in order of falling intensity (10° ≤ 2θ ≤ 90°):
2θ (°)	d_spacing	I/Imax
10.25	8.630	100
35.97	2.497	90
25.01	3.560	74
29.79	2.999	70
46.47	1.954	65
38.49	2.339	54
18.97	4.678	42
26.56	3.356	37